Diffraction record for RbHfCdF7. The powder X-ray diffraction pattern is calculated, not measured: it uses a crystal structure in OQMD, relaxed with GGA-PBE and Cu Kα (weighted mean of Kα1 and Kα2).
Peak positions follow from Bragg's law for the DFT cell and can differ from measured ones.

The 12 most intense peaks (10 to 90 degrees two-theta), low angle first:
2theta, d/Å, intensity
16.48, 5.379, 50
21.26, 4.179, 70
26.46, 3.369, 73
26.58, 3.353, 82
27.02, 3.300, 80
28.22, 3.162, 100
38.26, 2.352, 52
43.30, 2.090, 39
46.85, 1.939, 27
47.95, 1.897, 36
49.55, 1.840, 54
52.49, 1.743, 35

Structural model:
Lattice parameters (Å, degrees): 6.3385 6.3385 8.3589 90.00 90.00 116.12
Atoms (fractional coordinates):
Rb1 0.0000 0.0000 0.0000
Rb2 0.0000 0.0000 0.5000
Hf1 0.3052 0.6948 0.7500
Hf2 0.6948 0.3052 0.2500
Cd1 0.3058 0.6942 0.2500
Cd2 0.6942 0.3058 0.7500
F1 0.0306 0.3228 0.2500
F2 0.0681 0.3414 0.7500
F3 0.2907 0.7093 0.5134
F4 0.2907 0.7093 0.9866
F5 0.3228 0.0306 0.7500
F6 0.3414 0.0681 0.2500
F7 0.4912 0.5088 0.7500
F8 0.5088 0.4912 0.2500
F9 0.6586 0.9319 0.7500
F10 0.6772 0.9694 0.2500
F11 0.7093 0.2907 0.0134
F12 0.7093 0.2907 0.4866
F13 0.9319 0.6586 0.2500
F14 0.9694 0.6772 0.7500

---

Diffraction record for Np2Te3. The powder X-ray diffraction pattern is calculated, not measured: it uses a crystal structure in OQMD, relaxed with GGA-PBE and Cu Kα (weighted mean of Kα1 and Kα2).
Peak positions follow from Bragg's law for the DFT cell and can differ from measured ones.

The 12 most intense peaks (10 to 90 degrees two-theta), low angle first:
2theta, d/Å, intensity
16.82, 5.272, 14
23.58, 3.773, 9
27.38, 3.257, 100
32.69, 2.740, 18
36.98, 2.431, 30
41.15, 2.194, 39
44.20, 2.049, 18
50.14, 1.820, 19
56.50, 1.629, 9
66.80, 1.400, 16
68.40, 1.371, 15
72.25, 1.308, 9

Structural model:
Lattice parameters (Å, degrees): 4.3874 4.3874 31.6341 90.00 90.00 120.00
Atoms (fractional coordinates):
Np1 0.0000 0.0000 0.1061
Np2 0.0000 0.0000 0.8939
Np3 0.3333 0.6667 0.5605
Np4 0.3333 0.6667 0.7728
Np5 0.6667 0.3333 0.2272
Np6 0.6667 0.3333 0.4395
Te1 0.0000 0.0000 0.2798
Te2 0.0000 0.0000 0.5000
Te3 0.0000 0.0000 0.7202
Te4 0.3333 0.6667 0.1667
Te5 0.3333 0.6667 0.3868
Te6 0.3333 0.6667 0.9465
Te7 0.6667 0.3333 0.0535
Te8 0.6667 0.3333 0.6132
Te9 0.6667 0.3333 0.8333

---

Diffraction record for Ba2TlReN4. The powder X-ray diffraction pattern is calculated, not measured: it uses a crystal structure in OQMD, relaxed with GGA-PBE and Cu Kα (weighted mean of Kα1 and Kα2).
Peak positions follow from Bragg's law for the DFT cell and can differ from measured ones.

The 12 most intense peaks (10 to 90 degrees two-theta), low angle first:
2theta, d/Å, intensity
25.81, 3.452, 14
28.13, 3.173, 100
28.58, 3.123, 54
29.32, 3.046, 57
30.94, 2.890, 91
41.40, 2.181, 45
43.18, 2.095, 14
48.51, 1.877, 20
51.27, 1.782, 19
53.04, 1.727, 33
53.86, 1.702, 18
58.16, 1.586, 14

Structural model:
Lattice parameters (Å, degrees): 6.3030 6.0922 8.4549 90.00 97.66 90.00
Atoms (fractional coordinates):
Ba1 0.2312 0.2500 0.0148
Ba2 0.2464 0.2500 0.5167
Ba3 0.7536 0.7500 0.4833
Ba4 0.7688 0.7500 0.9852
Tl1 0.2600 0.7500 0.7818
Tl2 0.7400 0.2500 0.2182
Re1 0.2235 0.7500 0.2851
Re2 0.7765 0.2500 0.7149
N1 0.0550 0.5057 0.2346
N2 0.0550 0.9943 0.2346
N3 0.3212 0.7500 0.5003
N4 0.4573 0.7500 0.1805
N5 0.5427 0.2500 0.8195
N6 0.6788 0.2500 0.4997
N7 0.9450 0.0057 0.7654
N8 0.9450 0.4943 0.7654

---

Diffraction record for Gd2Cu2SnGe. The powder X-ray diffraction pattern is calculated, not measured: it uses a crystal structure in OQMD, relaxed with GGA-PBE and Cu Kα (weighted mean of Kα1 and Kα2).
Peak positions follow from Bragg's law for the DFT cell and can differ from measured ones.

The 12 most intense peaks (10 to 90 degrees two-theta), low angle first:
2theta, d/Å, intensity
23.37, 3.806, 12
26.18, 3.403, 3
33.32, 2.689, 100
41.07, 2.198, 52
47.87, 1.900, 13
53.88, 1.701, 28
64.88, 1.437, 27
69.92, 1.345, 24
74.83, 1.269, 9
79.81, 1.202, 7
84.47, 1.147, 1
89.11, 1.099, 6

Structural model:
Lattice parameters (Å, degrees): 4.3953 4.3953 7.5987 90.00 90.00 120.00
Atoms (fractional coordinates):
Gd1 0.0000 0.0000 0.0000
Gd2 0.0000 0.0000 0.4808
Cu1 0.3333 0.6667 0.2369
Cu2 0.6667 0.3333 0.7362
Sn1 0.3333 0.6667 0.7430
Ge1 0.6667 0.3333 0.2434

---

Diffraction record for Li4CuSbPd2. The powder X-ray diffraction pattern is calculated, not measured: it uses a crystal structure in OQMD, relaxed with GGA-PBE and Cu Kα (weighted mean of Kα1 and Kα2).
Peak positions follow from Bragg's law for the DFT cell and can differ from measured ones.

The 12 most intense peaks (10 to 90 degrees two-theta), low angle first:
2theta, d/Å, intensity
25.10, 3.548, 100
41.16, 2.193, 32
41.76, 2.163, 61
48.82, 1.866, 32
49.87, 1.829, 15
59.62, 1.551, 11
61.45, 1.509, 5
65.71, 1.421, 6
66.58, 1.404, 12
75.42, 1.260, 20
76.66, 1.243, 10
80.54, 1.193, 7

Structural model:
Lattice parameters (Å, degrees): 4.3865 4.3865 6.0351 90.00 90.00 90.00
Atoms (fractional coordinates):
Li1 0.0000 0.0000 0.0000
Li2 0.0000 0.5000 0.2233
Li3 0.5000 0.0000 0.7767
Li4 0.5000 0.5000 0.5000
Cu1 0.5000 0.5000 0.0000
Sb1 0.0000 0.0000 0.5000
Pd1 0.0000 0.5000 0.7574
Pd2 0.5000 0.0000 0.2426

---

Diffraction record for K2RbTmF6. The powder X-ray diffraction pattern is calculated, not measured: it uses a crystal structure in OQMD, relaxed with GGA-PBE and Cu Kα (weighted mean of Kα1 and Kα2).
Peak positions follow from Bragg's law for the DFT cell and can differ from measured ones.

The 12 most intense peaks (10 to 90 degrees two-theta), low angle first:
2theta, d/Å, intensity
16.78, 5.284, 28
17.50, 5.067, 27
19.91, 4.460, 100
20.18, 4.401, 38
27.94, 3.193, 87
28.12, 3.173, 52
28.68, 3.113, 46
28.86, 3.094, 53
29.01, 3.078, 52
40.45, 2.230, 63
50.58, 1.804, 52
51.04, 1.789, 27

Structural model:
Lattice parameters (Å, degrees): 6.1575 6.1880 6.3528 90.75 118.50 119.42
Atoms (fractional coordinates):
K1 0.0192 0.2509 0.2737
K2 0.9808 0.7491 0.7263
Rb1 0.5000 0.5000 0.0000
Tm1 0.5000 0.0000 0.5000
F1 0.0493 0.8473 0.3611
F2 0.3668 0.7916 0.1466
F3 0.4772 0.6833 0.6318
F4 0.5228 0.3167 0.3682
F5 0.6332 0.2084 0.8534
F6 0.9507 0.1527 0.6389

---

Diffraction record for Rb2HfS4. The powder X-ray diffraction pattern is calculated, not measured: it uses a crystal structure in OQMD, relaxed with GGA-PBE and Cu Kα (weighted mean of Kα1 and Kα2).
Peak positions follow from Bragg's law for the DFT cell and can differ from measured ones.

The 12 most intense peaks (10 to 90 degrees two-theta), low angle first:
2theta, d/Å, intensity
11.62, 7.617, 100
14.70, 6.026, 33
22.70, 3.917, 52
23.93, 3.719, 48
24.45, 3.641, 46
28.23, 3.161, 27
30.42, 2.939, 29
30.55, 2.926, 31
32.39, 2.764, 49
40.66, 2.219, 22
44.38, 2.041, 22
47.34, 1.920, 35

Structural model:
Lattice parameters (Å, degrees): 6.7317 24.1034 9.8296 90.00 90.00 90.00
Atoms (fractional coordinates):
Rb1 0.0473 0.1992 0.0721
Rb2 0.0473 0.3008 0.5721
Rb3 0.1936 0.5340 0.3594
Rb4 0.1936 0.9660 0.8594
Rb5 0.3064 0.0340 0.3594
Rb6 0.3064 0.4660 0.8594
Rb7 0.4527 0.6992 0.0721
Rb8 0.4527 0.8008 0.5721
Rb9 0.5473 0.1992 0.4279
Rb10 0.5473 0.3008 0.9279
Rb11 0.6936 0.5340 0.1406
Rb12 0.6936 0.9660 0.6406
Rb13 0.8064 0.0340 0.1406
Rb14 0.8064 0.4660 0.6406
Rb15 0.9527 0.6992 0.4279
Rb16 0.9527 0.8008 0.9279
Hf1 0.0342 0.1302 0.6732
Hf2 0.0342 0.3698 0.1732
Hf3 0.4658 0.6302 0.6732
Hf4 0.4658 0.8698 0.1732
Hf5 0.5342 0.1302 0.8268
Hf6 0.5342 0.3698 0.3268
Hf7 0.9658 0.6302 0.8268
Hf8 0.9658 0.8698 0.3268
S1 0.0527 0.1592 0.4209
S2 0.0527 0.3408 0.9209
S3 0.1279 0.5889 0.0415
S4 0.1279 0.9111 0.5415
S5 0.1563 0.5678 0.6719
S6 0.1563 0.9322 0.1719
S7 0.2305 0.7006 0.7685
S8 0.2305 0.7994 0.2685
S9 0.2695 0.2006 0.7685
S10 0.2695 0.2994 0.2685
S11 0.3437 0.0678 0.6719
S12 0.3437 0.4322 0.1719
S13 0.3721 0.0889 0.0415
S14 0.3721 0.4111 0.5415
S15 0.4473 0.6592 0.4209
S16 0.4473 0.8408 0.9209
S17 0.5527 0.1592 0.0791
S18 0.5527 0.3408 0.5791
S19 0.6279 0.5889 0.4585
S20 0.6279 0.9111 0.9585
S21 0.6563 0.5678 0.8281
S22 0.6563 0.9322 0.3281
S23 0.7305 0.7006 0.7315
S24 0.7305 0.7994 0.2315
S25 0.7695 0.2006 0.7315
S26 0.7695 0.2994 0.2315
S27 0.8437 0.0678 0.8281
S28 0.8437 0.4322 0.3281
S29 0.8721 0.0889 0.4585
S30 0.8721 0.4111 0.9585
S31 0.9473 0.6592 0.0791
S32 0.9473 0.8408 0.5791

---

Diffraction record for AlCo14. The powder X-ray diffraction pattern is calculated, not measured: it uses a crystal structure in OQMD, relaxed with GGA-PBE and Cu Kα (weighted mean of Kα1 and Kα2).
Peak positions follow from Bragg's law for the DFT cell and can differ from measured ones.

The 12 most intense peaks (10 to 90 degrees two-theta), low angle first:
2theta, d/Å, intensity
39.93, 2.258, 21
43.58, 2.077, 100
44.91, 2.018, 37
45.42, 1.997, 31
46.70, 1.945, 73
48.23, 1.887, 88
49.46, 1.843, 51
50.42, 1.810, 17
77.54, 1.231, 14
78.48, 1.219, 18
79.43, 1.206, 21
81.90, 1.176, 14

Structural model:
Lattice parameters (Å, degrees): 8.5633 8.5633 4.5154 90.00 90.00 90.00
Atoms (fractional coordinates):
Al1 0.0000 0.0000 0.0000
Al2 0.5000 0.5000 0.5000
Co1 0.0358 0.3661 0.5000
Co2 0.0678 0.2670 0.0000
Co3 0.0993 0.0993 0.5000
Co4 0.1339 0.5358 0.0000
Co5 0.1841 0.8159 0.2507
Co6 0.1841 0.8159 0.7493
Co7 0.2330 0.5678 0.5000
Co8 0.2670 0.0678 0.0000
Co9 0.3159 0.3159 0.2493
Co10 0.3159 0.3159 0.7507
Co11 0.3661 0.0358 0.5000
Co12 0.4007 0.5993 0.0000
Co13 0.4322 0.7670 0.5000
Co14 0.4642 0.8661 0.0000
Co15 0.5358 0.1339 0.0000
Co16 0.5678 0.2330 0.5000
Co17 0.5993 0.4007 0.0000
Co18 0.6339 0.9642 0.5000
Co19 0.6841 0.6841 0.2493
Co20 0.6841 0.6841 0.7507
Co21 0.7330 0.9322 0.0000
Co22 0.7670 0.4322 0.5000
Co23 0.8159 0.1841 0.2507
Co24 0.8159 0.1841 0.7493
Co25 0.8661 0.4642 0.0000
Co26 0.9007 0.9007 0.5000
Co27 0.9322 0.7330 0.0000
Co28 0.9642 0.6339 0.5000

---

Diffraction record for SiAg6SO8. The powder X-ray diffraction pattern is calculated, not measured: it uses a crystal structure in OQMD, relaxed with GGA-PBE and Cu Kα (weighted mean of Kα1 and Kα2).
Peak positions follow from Bragg's law for the DFT cell and can differ from measured ones.

The 12 most intense peaks (10 to 90 degrees two-theta), low angle first:
2theta, d/Å, intensity
19.59, 4.532, 6
20.54, 4.323, 8
32.54, 2.752, 100
36.37, 2.470, 26
38.27, 2.352, 9
40.39, 2.233, 9
42.13, 2.145, 7
45.91, 1.977, 6
52.38, 1.747, 12
55.47, 1.657, 18
63.04, 1.475, 17
68.51, 1.370, 6

Structural model:
Lattice parameters (Å, degrees): 10.2083 10.2083 10.2083 139.98 139.98 57.89
Atoms (fractional coordinates):
Si1 0.3750 0.6250 0.7500
Si2 0.6250 0.3750 0.2500
Ag1 0.0000 0.2936 0.2936
Ag2 0.0000 0.7064 0.7064
Ag3 0.1418 0.3918 0.7500
Ag4 0.2936 0.0000 0.7936
Ag5 0.2936 0.5000 0.2936
Ag6 0.3918 0.1418 0.2500
Ag7 0.5000 0.2936 0.7936
Ag8 0.5000 0.7064 0.2064
Ag9 0.6082 0.8582 0.7500
Ag10 0.7064 0.0000 0.2064
Ag11 0.7064 0.5000 0.7064
Ag12 0.8582 0.6082 0.2500
S1 0.1250 0.8750 0.2500
S2 0.8750 0.1250 0.7500
O1 0.0018 0.0769 0.9249
O2 0.0769 0.0018 0.4249
O3 0.0769 0.6521 0.0751
O4 0.2287 0.6763 0.5524
O5 0.3237 0.3761 0.5524
O6 0.3237 0.7713 0.9476
O7 0.3479 0.9231 0.4249
O8 0.3761 0.3237 0.0524
O9 0.6239 0.6763 0.9476
O10 0.6521 0.0769 0.5751
O11 0.6763 0.2287 0.0524
O12 0.6763 0.6239 0.4476
O13 0.7713 0.3237 0.4476
O14 0.9231 0.3479 0.9249
O15 0.9231 0.9982 0.5751
O16 0.9982 0.9231 0.0751

---

Diffraction record for Rb2ZrAg2TeS3. The powder X-ray diffraction pattern is calculated, not measured: it uses a crystal structure in OQMD, relaxed with GGA-PBE and Cu Kα (weighted mean of Kα1 and Kα2).
Peak positions follow from Bragg's law for the DFT cell and can differ from measured ones.

The 12 most intense peaks (10 to 90 degrees two-theta), low angle first:
2theta, d/Å, intensity
12.54, 7.057, 53
15.58, 5.687, 25
25.24, 3.529, 21
27.54, 3.239, 100
28.18, 3.166, 29
31.16, 2.870, 66
31.51, 2.840, 56
38.22, 2.355, 24
40.35, 2.235, 35
41.41, 2.181, 33
48.09, 1.892, 30
48.81, 1.866, 31

Structural model:
Lattice parameters (Å, degrees): 6.2380 6.2537 7.6821 66.75 88.64 88.59
Atoms (fractional coordinates):
Rb1 0.0000 0.0000 0.0000
Rb2 0.4797 0.5034 0.0015
Zr1 0.7457 0.4918 0.5214
Ag1 0.2423 0.4802 0.5219
Ag2 0.7572 0.9927 0.5236
Te1 0.4903 0.8648 0.2886
S1 0.5211 0.1740 0.7230
S2 0.9600 0.6094 0.7293
S3 0.9746 0.3643 0.3207

---

Diffraction record for Ta2Bi3Mo4N3. The powder X-ray diffraction pattern is calculated, not measured: it uses a crystal structure in OQMD, relaxed with GGA-PBE and Cu Kα (weighted mean of Kα1 and Kα2).
Peak positions follow from Bragg's law for the DFT cell and can differ from measured ones.

The 12 most intense peaks (10 to 90 degrees two-theta), low angle first:
2theta, d/Å, intensity
26.79, 3.327, 18
29.85, 2.994, 49
31.07, 2.878, 18
35.68, 2.517, 100
36.71, 2.448, 92
37.23, 2.415, 91
40.67, 2.218, 42
52.05, 1.757, 22
52.20, 1.752, 21
54.52, 1.683, 30
69.53, 1.352, 18
70.83, 1.330, 17

Structural model:
Lattice parameters (Å, degrees): 5.9964 5.9964 13.6521 101.27 101.27 57.37
Atoms (fractional coordinates):
Ta1 0.0370 0.8090 0.5645
Ta2 0.1910 0.9630 0.9355
Ta3 0.8090 0.0370 0.0645
Ta4 0.9630 0.1910 0.4355
Bi1 0.0877 0.2401 0.7418
Bi2 0.2401 0.0877 0.2418
Bi3 0.4233 0.5767 0.7500
Bi4 0.5767 0.4233 0.2500
Bi5 0.7599 0.9123 0.7582
Bi6 0.9123 0.7599 0.2582
Mo1 0.1748 0.4276 0.0809
Mo2 0.3573 0.3943 0.4208
Mo3 0.3943 0.3573 0.9208
Mo4 0.4276 0.1748 0.5809
Mo5 0.5724 0.8252 0.4191
Mo6 0.6057 0.6427 0.0792
Mo7 0.6427 0.6057 0.5792
Mo8 0.8252 0.5724 0.9191
N1 0.0000 0.5000 0.5000
N2 0.0873 0.7035 0.9803
N3 0.2965 0.9127 0.5197
N4 0.5000 0.0000 0.0000
N5 0.7035 0.0873 0.4803
N6 0.9127 0.2965 0.0197